Calculated PXRD pattern of Cs2ZrMnSe4 for copper Kα, from a cell relaxed with PBE.
No peak broadening, texture or thermal motion is included.

Main lines, by intensity (2θ from 10° to 90°):
2θ (°)  I_rel
24.95  100
28.44  94
23.51  59
35.05  48
46.49  38
23.01  34
48.11  33
41.71  27
13.45  27
44.85  24

Structure:
```
Cs2ZrMnSe4
1.0
0.0000 7.4683 13.1678
3.1514 0.0000 13.1678
3.1514 7.4683 0.0000
Cs Zr Mn Se
4 2 2 8
direct
0.0531 0.0531 0.6969
0.3031 0.3031 0.9469
0.6969 0.6969 0.0531
0.9469 0.9469 0.3031
0.1250 0.1250 0.1250
0.8750 0.8750 0.8750
0.3750 0.3750 0.3750
0.6250 0.6250 0.6250
0.0231 0.3326 0.4191
0.2748 0.5809 0.6674
0.3326 0.0231 0.7252
0.4191 0.7252 0.0231
0.5809 0.2748 0.9769
0.6674 0.9769 0.2748
0.7252 0.4191 0.3326
0.9769 0.6674 0.5809
```